Record 1
Starting from a PBE-relaxed structure, the powder XRD pattern of Mg2AgMo was simulated for Cu Kα (λ = 1.5418 Å).
No peak broadening, texture or thermal motion is included.

Structure:
Cell: 2.8507 2.8507 8.7138 Å, 90.00 90.00 95.00°
Fractional positions:
Mg  0.0000  0.0000  0.2482
Mg  0.0000  0.0000  0.7518
Ag  0.5000  0.5000  0.5000
Mo  0.5000  0.5000  0.0000

Largest 12 diffraction maxima, by intensity, 10 to 80 degrees two-theta:
37.81 deg, I = 1000
20.38 deg, I = 450
31.50 deg, I = 305
41.45 deg, I = 191
43.04 deg, I = 171
73.20 deg, I = 133
52.98 deg, I = 133
47.19 deg, I = 130
75.41 deg, I = 123
61.28 deg, I = 114
64.59 deg, I = 97
65.77 deg, I = 92

Record 2
Starting from a PBE-relaxed structure, the powder XRD pattern of MgAg4Mo was simulated for Cu Kα (λ = 1.5418 Å).
No peak broadening, texture or thermal motion is included.

Structure:
Cell: 5.4545 5.4545 5.4545 Å, 60.00 60.00 60.00°
Fractional positions:
Mg  0.0000  0.0000  0.0000
Ag  0.3750  0.3750  0.3750
Ag  0.3750  0.3750  0.8750
Ag  0.3750  0.8750  0.3750
Ag  0.8750  0.3750  0.3750
Mo  0.7500  0.7500  0.7500

Largest 12 diffraction maxima, by intensity, 10 to 80 degrees two-theta:
38.71 deg, I = 1000
40.51 deg, I = 606
19.94 deg, I = 392
62.57 deg, I = 305
68.85 deg, I = 279
47.13 deg, I = 148
32.84 deg, I = 121
51.65 deg, I = 89
72.49 deg, I = 62
23.06 deg, I = 51
58.63 deg, I = 43
53.10 deg, I = 20